The following is a simulated powder diffraction line list of RbPb2Br5. It was derived from the PBE geometry in the Materials Project, using λ = 1.5418 Å (Cu Kα).
Peak positions follow from Bragg's law for the DFT cell and can differ from measured ones.

Structural model:
Lattice parameters (Å, degrees): 8.5704 8.5704 15.3641 90.00 90.00 90.00
Space group I4/mcm (No. 140)
Unique sites:
Rb  0.0000  0.0000  0.2500
Pb  0.1672  0.3328  0.0000
Br  0.0000  0.0000  0.0000
Br  0.1552  0.3448  0.3702

Main lines, low angle first (2θ = 10–90°):
- d 7.682, rel. 60, (0 0 2)
- d 3.742, rel. 13, (2 0 2)
- d 3.069, rel. 100, (2 1 3)
- d 2.710, rel. 44, (3 1 0)
- d 2.558, rel. 15, (0 0 6)
- d 2.397, rel. 43, (2 1 5)
- d 1.926, rel. 22, (4 1 3)
- d 1.722, rel. 13, (4 1 5)
- d 1.567, rel. 16, (3 1 8)
- d 1.520, rel. 14, (5 2 3)

The following is a simulated powder diffraction line list of DyNbO4. It was derived from the PBE geometry in the Materials Project, using λ = 1.5418 Å (Cu Kα).
Peak positions follow from Bragg's law for the DFT cell and can differ from measured ones.

Structural model:
Lattice parameters (Å, degrees): 13.6185 4.0243 7.2426 90.00 106.54 90.00
Space group C2/m (No. 12)
Unique sites:
Dy  0.1938  0.0000  0.2887
Nb  0.0972  0.0000  0.7081
O  0.0472  0.0000  0.3688
O  0.1239  0.5000  0.6946
O  0.1317  0.0000  0.9731
O  0.2426  0.0000  0.6402

Main lines, low angle first (2θ = 10–90°):
- d 6.943, rel. 49, (0 0 1)
- d 6.527, rel. 62, (2 0 0)
- d 3.846, rel. 100, (1 1 0)
- d 3.471, rel. 86, (0 0 2)
- d 3.343, rel. 68, (4 0 -1)
- d 3.251, rel. 42, (1 1 1)
- d 2.955, rel. 54, (3 1 0)
- d 2.501, rel. 38, (3 1 -2)
- d 2.012, rel. 38, (0 2 0)
- d 1.752, rel. 48, (7 1 -1)